[1]
For Pm8TmSc5, DFT lattice parameters and positions (PBE) gives the calculated X-ray powder pattern in this record (Cu Kα (λ = 1.5418 Å)).

Crystal structure
Unit cell a=8.2516 b=8.2539 c=8.4921 alpha=115.68 beta=117.08 gamma=94.87
Sites, in units of the cell vectors:
Pm 0.0000 0.0000 0.0000
Pm 0.0473 0.5837 0.2710
Pm 0.1254 0.0155 0.6228
Pm 0.1966 0.6595 0.8567
Pm 0.5077 0.4368 0.5868
Pm 0.5876 0.1629 0.2349
Pm 0.7122 0.7849 0.1246
Pm 0.8568 0.2487 0.7328
Tm 0.5758 0.3061 0.9304
Sc 0.0505 0.2853 0.4262
Sc 0.3161 0.4226 0.1339
Sc 0.3894 0.9356 0.3849
Sc 0.4852 0.8432 0.7240
Sc 0.7482 0.6641 0.4727

Most intense lines, 2θ from 15° to 90°, low angle first:
hkl  two_theta  I (rel.)
1 1 0  21.12  41
0 2 -2  25.92  57
-2 1 2  31.18  39
1 -1 2  31.84  52
2 2 -2  32.07  40
1 1 -3  32.24  84
-2 2 1  32.36  29
1 2 0  32.67  52
2 -2 1  32.87  33
0 3 -2  33.53  100
1 -3 0  36.24  34
0 2 -5  62.57  30

---

[2]
For Pm3Tm4Sc2, DFT lattice parameters and positions (PBE) gives the calculated X-ray powder pattern in this record (Cu Kα (λ = 1.5418 Å)).

Crystal structure
Unit cell a=6.1621 b=9.0220 c=10.9274 alpha=109.30 beta=106.29 gamma=90.12
Sites, in units of the cell vectors:
Pm 0.0550 0.3058 0.4414
Pm 0.2798 0.0300 0.2173
Pm 0.3894 0.6384 0.1123
Pm 0.6106 0.3616 0.8877
Pm 0.7202 0.9700 0.7827
Pm 0.9450 0.6942 0.5586
Tm 0.0561 0.4767 0.7787
Tm 0.1633 0.0837 0.6669
Tm 0.1726 0.2453 0.0032
Tm 0.3891 0.8021 0.4456
Tm 0.6109 0.1979 0.5544
Tm 0.8274 0.7547 0.9968
Tm 0.8367 0.9163 0.3331
Tm 0.9439 0.5233 0.2213
Sc 0.2863 0.8597 0.8879
Sc 0.4983 0.5819 0.6654
Sc 0.5017 0.4181 0.3346
Sc 0.7137 0.1403 0.1121

Most intense lines, 2θ from 15° to 90°, low angle first:
hkl  two_theta  I (rel.)
2 0 -1  28.97  24
0 2 2  32.30  24
1 -1 3  33.26  100
2 2 1  43.93  15
3 -2 1  51.31  13
3 2 -4  51.41  7
1 1 5  58.20  17
3 0 3  61.95  18
-4 1 3  62.51  8
4 1 -1  62.60  8
4 -3 4  85.02  7
3 2 5  89.65  7